1.
Structure and simulated powder diffractogram of Li2NiP2O7 (a cell relaxed with PBE+U; Cu Kα, 1.54184 Å).

```
data_Li2NiP2O7
_chemical_formula_sum 'Li8 Ni4 P8 O28'
_space_group_name_H-M_alt 'P 1'
_space_group_IT_number 1
_space_group_name_Hall 'P 1'
_cell_length_a 6.5125
_cell_length_b 9.1916
_cell_length_c 10.2759
_cell_angle_alpha 66.42
_cell_angle_beta 87.19
_cell_angle_gamma 72.97
loop_
_atom_site_label
_atom_site_type_symbol
_atom_site_fract_x
_atom_site_fract_y
_atom_site_fract_z
Li1 Li 0.0000 0.0000 0.0000
Li2 Li 0.0251 0.3671 0.0861
Li3 Li 0.1355 0.1115 0.6066
Li4 Li 0.2543 0.7119 0.6160
Li5 Li 0.3106 0.7711 0.2146
Li6 Li 0.5365 0.9518 0.5049
Li7 Li 0.6038 0.3791 0.1570
Li8 Li 0.8375 0.8094 0.7429
Ni1 Ni 0.4601 0.9746 0.9049
Ni2 Ni 0.5587 0.3639 0.8776
Ni3 Ni 0.8160 0.3854 0.3831
Ni4 Ni 0.8999 0.7741 0.3469
P1 P 0.0721 0.3172 0.8295
P2 P 0.0998 0.0614 0.3279
P3 P 0.2649 0.6834 0.9286
P4 P 0.3056 0.4259 0.4262
P5 P 0.4918 0.0647 0.1779
P6 P 0.6173 0.1743 0.6626
P7 P 0.7549 0.5821 0.5932
P8 P 0.8688 0.6847 0.0732
O1 O 0.0745 0.9389 0.2681
O2 O 0.1009 0.5877 0.0334
O3 O 0.1447 0.3330 0.4290
O4 O 0.1558 0.7695 0.7776
O5 O 0.1605 0.1402 0.8328
O6 O 0.2059 0.6094 0.4009
O7 O 0.2131 0.9733 0.4790
O8 O 0.2370 0.3936 0.8506
O9 O 0.2572 0.1595 0.2183
O10 O 0.2796 0.8089 0.9895
O11 O 0.4186 0.3385 0.5884
O12 O 0.4448 0.9604 0.1053
O13 O 0.4749 0.5451 0.9556
O14 O 0.4907 0.4048 0.3309
O15 O 0.5522 0.0244 0.6635
O16 O 0.5573 0.5576 0.6746
O17 O 0.5805 0.2047 0.0866
O18 O 0.6188 0.9552 0.3221
O19 O 0.6348 0.1551 0.8190
O20 O 0.7381 0.7916 0.9298
O21 O 0.7411 0.5907 0.4401
O22 O 0.7932 0.5368 0.1677
O23 O 0.8129 0.7378 0.5840
O24 O 0.8170 0.1985 0.5840
O25 O 0.8929 0.3253 0.9326
O26 O 0.8953 0.2053 0.3023
O27 O 0.9107 0.7926 0.1433
O28 O 0.9590 0.4239 0.6697
```

Principal peaks in the range 10 to 90 degrees two-theta, most intense first:
d/Å	2theta	I/Imax
2.883	31.0	100
3.732	23.8	80
3.946	22.5	75
5.003	17.7	74
7.878	11.2	65
4.695	18.9	57
2.624	34.2	45
2.685	33.4	45
2.643	33.9	44
2.348	38.3	38

---

2.
Structure and simulated powder diffractogram of LiNi2P3O10 (a cell relaxed with PBE+U; Cu Kα, 1.54184 Å).

```
data_LiNi2P3O10
_chemical_formula_sum 'Li2 Ni4 P6 O20'
_space_group_name_H-M_alt 'P 1 21/m 1'
_space_group_IT_number 11
_space_group_name_Hall '-P 2yb'
_cell_length_a 4.6322
_cell_length_b 8.4707
_cell_length_c 9.0015
_cell_angle_alpha 90.00
_cell_angle_beta 98.01
_cell_angle_gamma 90.00
loop_
_atom_site_label
_atom_site_type_symbol
_atom_site_fract_x
_atom_site_fract_y
_atom_site_fract_z
Li1 Li 0.0000 0.0000 0.0000
Ni1 Ni 0.0363 0.0693 0.3362
P1 P 0.3293 0.2500 0.8212
P2 P 0.3980 0.7500 0.4652
P3 P 0.4622 0.2500 0.1460
O1 O 0.1575 0.0981 0.8121
O2 O 0.2279 0.5976 0.4858
O3 O 0.2328 0.7500 0.7610
O4 O 0.2884 0.0988 0.1603
O5 O 0.2951 0.2500 0.4448
O6 O 0.4351 0.7500 0.2898
O7 O 0.4486 0.7500 0.0246
```

Principal peaks in the range 10 to 90 degrees two-theta, most intense first:
d/Å	2theta	I/Imax
3.112	28.7	100
2.669	33.6	44
2.823	31.7	36
3.445	25.9	29
3.517	25.3	28
2.054	44.1	26
1.595	57.8	21
2.692	33.3	20
2.432	37.0	20
6.140	14.4	18